# 1
Structure and simulated powder diffraction line list of Ga2NiRu (a GGA-PBE-relaxed structure; Cu Ka).
Lines closer than 0.1° are merged.

Cell and atoms:
Lattice parameters (Å, degrees): 4.217 4.217 4.217 60.00 60.00 60.00
Fractional positions:
Ga1 0.250 0.250 0.250
Ga2 0.750 0.750 0.750
Ni1 0.000 0.000 0.000
Ru1 0.500 0.500 0.500

Most intense lines, 15 to 90 degrees two-theta, by intensity:
Position (°2θ)  d [Å]  intensity
42.9  2.109  100
78.6  1.217  31
62.3  1.491  16
25.9  3.443  4
50.8  1.798  2
68.6  1.368  1
30.0  2.982  1
84.4  1.148  1

=====

# 2
Structure and simulated powder diffraction line list of Ce6Mg23P (a GGA-PBE-relaxed structure; Cu Ka).
Lines closer than 0.1° are merged.

Cell and atoms:
Lattice parameters (Å, degrees): 10.234 10.234 10.234 60.00 60.00 60.00
Fractional positions:
Ce1 0.199 0.199 0.801
Ce2 0.199 0.801 0.199
Ce3 0.199 0.801 0.801
Ce4 0.801 0.199 0.199
Ce5 0.801 0.199 0.801
Ce6 0.801 0.801 0.199
Mg1 0.000 0.000 0.500
Mg2 0.000 0.500 0.000
Mg3 0.000 0.500 0.500
Mg4 0.138 0.621 0.621
Mg5 0.170 0.170 0.170
Mg6 0.170 0.170 0.489
Mg7 0.170 0.489 0.170
Mg8 0.379 0.379 0.379
Mg9 0.379 0.379 0.862
Mg10 0.379 0.862 0.379
Mg11 0.489 0.170 0.170
Mg12 0.500 0.000 0.000
Mg13 0.500 0.000 0.500
Mg14 0.500 0.500 0.000
Mg15 0.500 0.500 0.500
Mg16 0.511 0.830 0.830
Mg17 0.621 0.138 0.621
Mg18 0.621 0.621 0.138
Mg19 0.621 0.621 0.621
Mg20 0.830 0.511 0.830
Mg21 0.830 0.830 0.511
Mg22 0.830 0.830 0.830
Mg23 0.862 0.379 0.379
P1 0.000 0.000 0.000

Most intense lines, 15 to 90 degrees two-theta, by intensity:
Position (°2θ)  d [Å]  intensity
32.1  2.785  100
35.1  2.558  55
21.3  4.178  39
30.3  2.954  31
53.7  1.706  31
26.9  3.320  30
24.6  3.618  27
44.7  2.027  25
37.3  2.412  21
51.7  1.768  19

=====

# 3
Structure and simulated powder diffraction line list of Zn2GaSe4 (a GGA-PBE-relaxed structure; Cu Ka).
Lines closer than 0.1° are merged.

Cell and atoms:
Lattice parameters (Å, degrees): 6.776 6.776 6.776 131.18 131.18 71.52
Fractional positions:
Zn1 0.250 0.750 0.500
Zn2 0.750 0.250 0.500
Ga1 0.000 0.000 0.000
Se1 0.147 0.147 0.527
Se2 0.380 0.853 0.000
Se3 0.620 0.620 0.473
Se4 0.853 0.380 0.000

Most intense lines, 15 to 90 degrees two-theta, by intensity:
Position (°2θ)  d [Å]  intensity
27.8  3.213  100
46.3  1.962  45
54.4  1.686  28
45.8  1.980  24
85.1  1.140  14
55.2  1.663  13
74.5  1.274  11
66.8  1.400  7
86.1  1.129  7
36.8  2.442  6

=====

# 4
Structure and simulated powder diffraction line list of Sn4Sb6S13 (a GGA-PBE-relaxed structure; Cu Ka).
Lines closer than 0.1° are merged.

Cell and atoms:
Lattice parameters (Å, degrees): 16.987 16.987 24.942 131.56 131.56 12.96
Fractional positions:
Sn1 0.048 0.048 0.489
Sn2 0.071 0.071 0.697
Sn3 0.146 0.146 0.163
Sn4 0.302 0.302 0.102
Sn5 0.698 0.698 0.898
Sn6 0.854 0.854 0.837
Sn7 0.929 0.929 0.303
Sn8 0.952 0.952 0.511
Sb1 0.011 0.011 0.096
Sb2 0.172 0.172 0.332
Sb3 0.321 0.321 0.307
Sb4 0.356 0.356 0.522
Sb5 0.368 0.368 0.007
Sb6 0.473 0.473 0.751
Sb7 0.527 0.527 0.249
Sb8 0.632 0.632 0.993
Sb9 0.644 0.644 0.478
Sb10 0.679 0.679 0.693
Sb11 0.828 0.828 0.668
Sb12 0.989 0.989 0.904
S1 0.037 0.037 0.856
S2 0.104 0.104 0.346
S3 0.154 0.154 0.559
S4 0.178 0.178 0.763
S5 0.180 0.180 0.089
S6 0.186 0.186 0.958
S7 0.277 0.277 0.578
S8 0.289 0.289 0.758
S9 0.412 0.412 0.218
S10 0.420 0.420 0.406
S11 0.424 0.424 0.797
S12 0.442 0.442 0.001
S13 0.453 0.453 0.596
S14 0.547 0.547 0.404
S15 0.558 0.558 0.999
S16 0.576 0.576 0.203
S17 0.580 0.580 0.594
S18 0.588 0.588 0.782
S19 0.711 0.711 0.242
S20 0.723 0.723 0.422
S21 0.814 0.814 0.042
S22 0.820 0.820 0.911
S23 0.822 0.822 0.237
S24 0.846 0.846 0.441
S25 0.896 0.896 0.654
S26 0.963 0.963 0.144

Most intense lines, 15 to 90 degrees two-theta, by intensity:
Position (°2θ)  d [Å]  intensity
32.0  2.798  100
47.4  1.917  64
26.9  3.314  48
32.3  2.775  48
22.0  4.047  38
24.7  3.610  33
31.6  2.830  33
29.4  3.034  32
24.5  3.639  31
21.2  4.188  28

=====

# 5
Structure and simulated powder diffraction line list of SbMo6S8 (a GGA-PBE-relaxed structure; Cu Ka).
Lines closer than 0.1° are merged.

Cell and atoms:
Lattice parameters (Å, degrees): 6.549 6.549 6.549 90.29 90.29 90.29
Fractional positions:
Sb1 0.000 0.000 0.000
Mo1 0.224 0.415 0.560
Mo2 0.415 0.560 0.224
Mo3 0.440 0.776 0.585
Mo4 0.560 0.224 0.415
Mo5 0.585 0.440 0.776
Mo6 0.776 0.585 0.440
S1 0.127 0.741 0.374
S2 0.237 0.237 0.237
S3 0.259 0.626 0.873
S4 0.374 0.127 0.741
S5 0.626 0.873 0.259
S6 0.741 0.374 0.127
S7 0.763 0.763 0.763
S8 0.873 0.259 0.626

Most intense lines, 15 to 90 degrees two-theta, by intensity:
Position (°2θ)  d [Å]  intensity
45.9  1.975  100
19.2  4.630  99
41.3  2.187  86
30.5  2.935  78
33.5  2.676  77
43.8  2.068  59
41.6  2.173  56
43.6  2.074  38
52.2  1.754  36
59.9  1.544  30

=====

# 6
Structure and simulated powder diffraction line list of HoTmZn2 (a GGA-PBE-relaxed structure; Cu Ka).
Lines closer than 0.1° are merged.

Cell and atoms:
Lattice parameters (Å, degrees): 5.009 5.009 5.009 60.00 60.00 60.00
Fractional positions:
Ho1 0.000 0.000 0.000
Tm1 0.500 0.500 0.500
Zn1 0.250 0.250 0.250
Zn2 0.750 0.750 0.750

Most intense lines, 15 to 90 degrees two-theta, by intensity:
Position (°2θ)  d [Å]  intensity
35.9  2.505  100
64.4  1.446  36
25.1  3.542  19
51.6  1.771  18
87.0  1.120  16
76.0  1.252  11
58.2  1.584  8
44.3  2.045  6
81.5  1.181  4

=====

Q: What is the formula in the second record?
A: Ce6Mg23P